# 1
Calculated powder XRD pattern of Ca2CrN3 for copper Kα, from a DFT-relaxed cell (PBE, the Materials Project).
Neutral-atom scattering factors, no anomalous dispersion.

Principal peaks in the range 2θ = 10–90°, in order of rising 2θ:
| 2θ/deg | I/Imax |
| --- | --- |
| 16.64 | 48 |
| 17.93 | 37 |
| 22.73 | 72 |
| 24.55 | 36 |
| 27.91 | 48 |
| 33.00 | 81 |
| 33.37 | 81 |
| 34.71 | 39 |
| 36.32 | 100 |
| 46.41 | 37 |

Crystal structure
Lattice parameters (Å, degrees): 4.9469 6.6604 6.6604 73.73 90.00 90.00
Fractional positions:
Ca1 0.0000 0.0000 0.0000
Ca2 0.0000 0.5116 0.9196
Ca3 0.0000 0.9196 0.5116
Ca4 0.5000 0.2139 0.2139
Cr1 0.0000 0.4134 0.4134
Cr2 0.5000 0.8284 0.8284
N1 0.0000 0.2429 0.2429
N2 0.0000 0.3076 0.6727
N3 0.0000 0.6727 0.3076
N4 0.5000 0.5622 0.9385
N5 0.5000 0.9385 0.5622
N6 0.5000 0.9894 0.9894


# 2
Calculated powder XRD pattern of Ca2CrN2 for copper Kα, from a DFT-relaxed cell (PBE, the Materials Project).
Neutral-atom scattering factors, no anomalous dispersion.

Principal peaks in the range 2θ = 10–90°, in order of rising 2θ:
| 2θ/deg | I/Imax |
| --- | --- |
| 22.27 | 31 |
| 30.32 | 23 |
| 32.88 | 85 |
| 33.53 | 71 |
| 34.79 | 24 |
| 34.96 | 44 |
| 35.85 | 100 |
| 44.22 | 34 |
| 50.94 | 26 |
| 58.18 | 27 |

Crystal structure
Lattice parameters (Å, degrees): 6.0224 6.0224 6.6574 117.10 117.10 49.16
Fractional positions:
Ca1 0.0384 0.0384 0.2809
Ca2 0.3194 0.3194 0.8863
Ca3 0.6806 0.6806 0.1137
Ca4 0.9616 0.9616 0.7191
Cr1 0.3684 0.3684 0.3654
Cr2 0.6316 0.6316 0.6346
N1 0.1938 0.1938 0.1281
N2 0.4883 0.4883 0.6983
N3 0.5117 0.5117 0.3017
N4 0.8062 0.8062 0.8719


# 3
Calculated powder XRD pattern of Ca3Cr3N5 for copper Kα, from a DFT-relaxed cell (PBE, the Materials Project).
Neutral-atom scattering factors, no anomalous dispersion.

Principal peaks in the range 2θ = 10–90°, in order of rising 2θ:
| 2θ/deg | I/Imax |
| --- | --- |
| 13.81 | 23 |
| 16.58 | 22 |
| 30.84 | 28 |
| 33.15 | 56 |
| 33.92 | 100 |
| 34.27 | 22 |
| 34.56 | 70 |
| 38.73 | 19 |
| 40.99 | 23 |
| 43.94 | 24 |

Crystal structure
Lattice parameters (Å, degrees): 5.6143 6.8617 8.3383 108.20 104.47 94.97
Fractional positions:
Ca1 0.1523 0.1679 0.2025
Ca2 0.1631 0.3708 0.8832
Ca3 0.3207 0.9244 0.6156
Ca4 0.6793 0.0756 0.3844
Ca5 0.8369 0.6292 0.1168
Ca6 0.8477 0.8321 0.7975
Cr1 0.1975 0.4538 0.5687
Cr2 0.3872 0.6195 0.2992
Cr3 0.4071 0.8249 0.9678
Cr4 0.5929 0.1751 0.0322
Cr5 0.6128 0.3805 0.7008
Cr6 0.8025 0.5462 0.4313
N1 0.1139 0.5661 0.3800
N2 0.2535 0.0378 0.9089
N3 0.2991 0.7251 0.1226
N4 0.3355 0.2124 0.5083
N5 0.4524 0.6111 0.7835
N6 0.5476 0.3889 0.2165
N7 0.6645 0.7876 0.4917
N8 0.7009 0.2749 0.8774
N9 0.7465 0.9622 0.0911
N10 0.8861 0.4339 0.6200